For CaSnS3, a GGA-PBE-relaxed structure gives the theoretical powder diffractogram in this record (λ = 1.5418 Å (Cu Kα)).
Kinematic intensities with the Lorentz-polarization factor, no thermal factor.

Most intense lines, 2θ from 10° to 80°, in order of rising 2θ:
- d = 7.401 Å, 12.0°, I = 48
- d = 3.865 Å, 23.0°, I = 22
- d = 3.701 Å, 24.0°, I = 100
- d = 2.266 Å, 39.8°, I = 89
- d = 1.933 Å, 47.0°, I = 49
- d = 1.308 Å, 72.2°, I = 23

Structure:
```
CaSnS3
1.0
0.000 6.410 6.410
6.410 0.000 6.410
6.410 6.410 0.000
Ca Sn S
4 4 12
Direct
0.000 0.000 0.000
0.000 0.000 0.500
0.000 0.500 0.000
0.500 0.000 0.000
0.000 0.500 0.500
0.500 0.000 0.500
0.500 0.500 0.000
0.500 0.500 0.500
0.154 0.154 0.596
0.154 0.596 0.154
0.154 0.596 0.596
0.404 0.404 0.846
0.404 0.846 0.404
0.404 0.846 0.846
0.596 0.154 0.154
0.596 0.154 0.596
0.596 0.596 0.154
0.846 0.404 0.404
0.846 0.404 0.846
0.846 0.846 0.404
```